# Be3Tc
Simulated PXRD pattern, Cu Kα, 1.54184 Å. Input: a GGA-PBE-relaxed structure.

Structural model:
Cell lengths 3.3786, 3.3786, 3.3786 Å; angles 90.00, 90.00, 90.00 degrees
Space group Pm-3m (No. 221)
Symmetry-distinct sites (fractional):
Be (0.0000, 0.0000, 0.5000) x3
Tc (0.5000, 0.5000, 0.5000) x1

Top 8 peaks for 2θ = 10–90°, low angle first:
2theta	I_rel	index
26.38	100	1 0 0
37.65	78	1 1 0
46.56	44	1 1 1
54.30	20	2 0 0
61.36	36	2 1 0
67.96	26	2 1 1
80.39	13	2 2 0
86.40	17	3 0 0